Er4BSeS2: computed XRD peak list (copper Kα), based on a structure optimized by DFT (PBE).
No peak broadening, texture or thermal motion is included.

Structural model:
a = 5.4964 Å, b = 5.4964 Å, c = 11.0631 Å
α = 90.00°, β = 90.00°, γ = 90.00°
Positions (direct):
Er1 0.0000 0.0000 0.2309
Er2 0.0000 0.0000 0.7691
Er3 0.0000 0.5000 0.5045
Er4 0.0000 0.5000 0.9955
Er5 0.5000 0.0000 0.0045
Er6 0.5000 0.0000 0.4955
Er7 0.5000 0.5000 0.2691
Er8 0.5000 0.5000 0.7309
B1 0.0000 0.0000 0.0000
B2 0.5000 0.5000 0.5000
Se1 0.0000 0.5000 0.2500
Se2 0.5000 0.0000 0.7500
S1 0.0000 0.0000 0.5000
S2 0.0000 0.5000 0.7500
S3 0.5000 0.0000 0.2500
S4 0.5000 0.5000 0.0000

Principal peaks in the range 10° ≤ 2θ ≤ 80°, most intense first:
2θ 28.06, d 3.180, intensity 100
2θ 32.58, d 2.748, intensity 93
2θ 46.59, d 1.949, intensity 62
2θ 32.37, d 2.766, intensity 43
2θ 46.75, d 1.943, intensity 34
2θ 58.01, d 1.590, intensity 32
2θ 55.41, d 1.658, intensity 32
2θ 77.70, d 1.229, intensity 15
2θ 77.58, d 1.231, intensity 14
2θ 55.13, d 1.666, intensity 12

***

ErSc2B6: computed XRD peak list (copper Kα), based on a structure optimized by DFT (PBE).
No peak broadening, texture or thermal motion is included.

Structural model:
a = 5.5161 Å, b = 5.5161 Å, c = 3.6421 Å
α = 90.00°, β = 90.00°, γ = 120.00°
Positions (direct):
Er1 0.0000 0.0000 0.0000
Sc1 0.3333 0.6667 0.0000
Sc2 0.6667 0.3333 0.0000
B1 0.0000 0.3379 0.5000
B2 0.0000 0.6621 0.5000
B3 0.3379 0.0000 0.5000
B4 0.3379 0.3379 0.5000
B5 0.6621 0.0000 0.5000
B6 0.6621 0.6621 0.5000

Principal peaks in the range 10° ≤ 2θ ≤ 80°, most intense first:
2θ 41.05, d 2.199, intensity 100
2θ 18.57, d 4.777, intensity 67
2θ 32.46, d 2.758, intensity 66
2θ 30.87, d 2.896, intensity 41
2θ 24.44, d 3.642, intensity 35
2θ 60.97, d 1.520, intensity 22
2θ 57.91, d 1.592, intensity 20
2θ 73.42, d 1.290, intensity 17
2θ 63.79, d 1.459, intensity 16
2θ 56.92, d 1.618, intensity 16

***

Er3BSe2: computed XRD peak list (copper Kα), based on a structure optimized by DFT (PBE).
No peak broadening, texture or thermal motion is included.

Structural model:
a = 13.0418 Å, b = 12.4356 Å, c = 6.8920 Å
α = 79.22°, β = 69.50°, γ = 31.27°
Positions (direct):
Er1 0.0343 0.5357 0.1827
Er2 0.0889 0.6611 0.6611
Er3 0.1827 0.7473 0.0343
Er4 0.2527 0.8173 0.4643
Er5 0.3389 0.9111 0.9111
Er6 0.4643 0.9657 0.2527
Er7 0.5357 0.0343 0.7473
Er8 0.6611 0.0889 0.0889
Er9 0.7473 0.1827 0.5357
Er10 0.8173 0.2527 0.9657
Er11 0.9111 0.3389 0.3389
Er12 0.9657 0.4643 0.8173
B1 0.0412 0.0412 0.2088
B2 0.2088 0.2088 0.0412
B3 0.7912 0.7912 0.9588
B4 0.9588 0.9588 0.7912
Se1 0.1289 0.1289 0.6211
Se2 0.2957 0.2957 0.4543
Se3 0.3789 0.3789 0.8711
Se4 0.4543 0.4543 0.2957
Se5 0.5457 0.5457 0.7043
Se6 0.6211 0.6211 0.1289
Se7 0.7043 0.7043 0.5457
Se8 0.8711 0.8711 0.3789

Principal peaks in the range 10° ≤ 2θ ≤ 80°, most intense first:
2θ 31.92, d 2.803, intensity 100
2θ 45.77, d 1.983, intensity 45
2θ 27.74, d 3.216, intensity 23
2θ 27.37, d 3.259, intensity 22
2θ 75.88, d 1.254, intensity 15
2θ 46.27, d 1.962, intensity 12
2θ 57.30, d 1.608, intensity 11
2θ 45.30, d 2.002, intensity 10
2θ 56.48, d 1.629, intensity 10
2θ 66.73, d 1.402, intensity 9

***

Er5BSe4: computed XRD peak list (copper Kα), based on a structure optimized by DFT (PBE).
No peak broadening, texture or thermal motion is included.

Structural model:
a = 6.9394 Å, b = 6.9394 Å, c = 6.9394 Å
α = 99.47°, β = 99.47°, γ = 132.13°
Positions (direct):
Er1 0.0000 0.0000 0.0000
Er2 0.2328 0.5916 0.8244
Er3 0.4084 0.2328 0.6412
Er4 0.5916 0.7672 0.3588
Er5 0.7672 0.4084 0.1756
B1 0.5000 0.5000 0.0000
Se1 0.0924 0.3051 0.3975
Se2 0.3051 0.9076 0.2127
Se3 0.6949 0.0924 0.7873
Se4 0.9076 0.6949 0.6025

Principal peaks in the range 10° ≤ 2θ ≤ 80°, most intense first:
2θ 31.54, d 2.837, intensity 100
2θ 45.39, d 1.998, intensity 73
2θ 27.30, d 3.267, intensity 56
2θ 31.79, d 2.815, intensity 52
2θ 56.32, d 1.634, intensity 32
2θ 45.21, d 2.006, intensity 31
2θ 75.38, d 1.261, intensity 16
2θ 39.61, d 2.276, intensity 13
2θ 74.98, d 1.267, intensity 11
2θ 74.85, d 1.269, intensity 9

***

Er3Si2B: computed XRD peak list (copper Kα), based on a structure optimized by DFT (PBE).
No peak broadening, texture or thermal motion is included.

Structural model:
a = 10.9522 Å, b = 3.6827 Å, c = 11.6419 Å
α = 90.00°, β = 90.00°, γ = 90.00°
Positions (direct):
Er1 0.0696 0.2500 0.1252
Er2 0.1137 0.7500 0.5510
Er3 0.2033 0.2500 0.7871
Er4 0.2967 0.7500 0.2871
Er5 0.3863 0.2500 0.0510
Er6 0.4304 0.7500 0.6252
Er7 0.5696 0.2500 0.3748
Er8 0.6137 0.7500 0.9490
Er9 0.7033 0.2500 0.7129
Er10 0.7967 0.7500 0.2129
Er11 0.8863 0.2500 0.4490
Er12 0.9304 0.7500 0.8748
Si1 0.0398 0.7500 0.3180
Si2 0.1966 0.7500 0.9735
Si3 0.3034 0.2500 0.4735
Si4 0.4602 0.2500 0.8180
Si5 0.5398 0.7500 0.1820
Si6 0.6966 0.7500 0.5265
Si7 0.8034 0.2500 0.0265
Si8 0.9602 0.2500 0.6820
B1 0.1344 0.2500 0.3740
B2 0.3656 0.7500 0.8740
B3 0.6344 0.2500 0.1260
B4 0.8656 0.7500 0.6260

Principal peaks in the range 10° ≤ 2θ ≤ 80°, most intense first:
2θ 33.57, d 2.669, intensity 100
2θ 28.87, d 3.093, intensity 47
2θ 33.11, d 2.706, intensity 42
2θ 35.47, d 2.531, intensity 41
2θ 30.24, d 2.956, intensity 39
2θ 26.66, d 3.344, intensity 38
2θ 58.35, d 1.581, intensity 28
2θ 24.33, d 3.658, intensity 27
2θ 54.09, d 1.695, intensity 24
2θ 31.81, d 2.813, intensity 23

***

Er2SiB3: computed XRD peak list (copper Kα), based on a structure optimized by DFT (PBE).
No peak broadening, texture or thermal motion is included.

Structural model:
a = 7.1036 Å, b = 6.7897 Å, c = 5.2424 Å
α = 71.05°, β = 64.69°, γ = 44.27°
Positions (direct):
Er1 0.2442 0.7558 0.2442
Er2 0.2500 0.2500 0.2500
Er3 0.7500 0.7500 0.7500
Er4 0.7558 0.2442 0.7558
Si1 0.3342 0.3342 0.6658
Si2 0.6658 0.6658 0.3342
B1 0.1548 0.1548 0.8452
B2 0.1546 0.6911 0.8454
B3 0.3089 0.8454 0.6911
B4 0.6911 0.1546 0.3089
B5 0.8454 0.3089 0.1546
B6 0.8452 0.8452 0.1548

Principal peaks in the range 10° ≤ 2θ ≤ 80°, most intense first:
2θ 38.00, d 2.368, intensity 100
2θ 30.39, d 2.942, intensity 66
2θ 22.28, d 3.990, intensity 38
2θ 55.67, d 1.651, intensity 25
2θ 53.99, d 1.698, intensity 20
2θ 59.12, d 1.563, intensity 18
2θ 73.19, d 1.293, intensity 16
2θ 67.89, d 1.381, intensity 12
2θ 79.00, d 1.212, intensity 12
2θ 45.46, d 1.995, intensity 11

***

ErTa2B6: computed XRD peak list (copper Kα), based on a structure optimized by DFT (PBE).
No peak broadening, texture or thermal motion is included.

Structural model:
a = 5.4456 Å, b = 5.4456 Å, c = 3.4530 Å
α = 90.00°, β = 90.00°, γ = 120.00°
Positions (direct):
Er1 0.0000 0.0000 0.0000
Ta1 0.3333 0.6667 0.0000
Ta2 0.6667 0.3333 0.0000
B1 0.0000 0.3381 0.5000
B2 0.0000 0.6619 0.5000
B3 0.3381 0.0000 0.5000
B4 0.3381 0.3381 0.5000
B5 0.6619 0.0000 0.5000
B6 0.6619 0.6619 0.5000

Principal peaks in the range 10° ≤ 2θ ≤ 80°, most intense first:
2θ 42.27, d 2.138, intensity 100
2θ 32.89, d 2.723, intensity 83
2θ 25.80, d 3.453, intensity 45
2θ 63.84, d 1.458, intensity 25
2θ 65.21, d 1.431, intensity 22
2θ 58.73, d 1.572, intensity 20
2θ 74.99, d 1.267, intensity 19
2θ 68.98, d 1.361, intensity 10
2θ 53.04, d 1.726, intensity 9

***

Er4TaV7B24: computed XRD peak list (copper Kα), based on a structure optimized by DFT (PBE).
No peak broadening, texture or thermal motion is included.

Structural model:
a = 8.9109 Å, b = 3.3256 Å, c = 11.2501 Å
α = 90.00°, β = 90.02°, γ = 90.00°
Positions (direct):
Er1 0.0000 0.0000 0.0000
Er2 0.1423 0.0000 0.4979
Er3 0.5018 0.0000 0.3285
Er4 0.6441 0.0000 0.8291
Ta1 0.2682 0.0000 0.7865
V1 0.1768 0.0000 0.2296
V2 0.3765 0.0000 0.0429
V3 0.4694 0.0000 0.5964
V4 0.6769 0.0000 0.0990
V5 0.7680 0.0000 0.5420
V6 0.8766 0.0000 0.2852
V7 0.9648 0.0000 0.7284
B1 0.0216 0.5000 0.1783
B2 0.0616 0.5000 0.3320
B3 0.0777 0.5000 0.8331
B4 0.1202 0.5000 0.6761
B5 0.1945 0.5000 0.0939
B6 0.2263 0.5000 0.9419
B7 0.2677 0.5000 0.3468
B8 0.3037 0.5000 0.6275
B9 0.3415 0.5000 0.1983
B10 0.3774 0.5000 0.4794
B11 0.4202 0.5000 0.8910
B12 0.4540 0.5000 0.7338
B13 0.5220 0.5000 0.1506
B14 0.5629 0.5000 0.9969
B15 0.5834 0.5000 0.4947
B16 0.6235 0.5000 0.6488
B17 0.6952 0.5000 0.2354
B18 0.7281 0.5000 0.3887
B19 0.7671 0.5000 0.9813
B20 0.8025 0.5000 0.6975
B21 0.8415 0.5000 0.1302
B22 0.8750 0.5000 0.8473
B23 0.9165 0.5000 0.4382
B24 0.9484 0.5000 0.5919

Principal peaks in the range 10° ≤ 2θ ≤ 80°, most intense first:
2θ 41.56, d 2.173, intensity 100
2θ 31.16, d 2.871, intensity 86
2θ 26.81, d 3.326, intensity 63
2θ 43.34, d 2.088, intensity 37
2θ 33.41, d 2.682, intensity 30
2θ 18.65, d 4.757, intensity 27
2θ 42.08, d 2.147, intensity 22
2θ 64.80, d 1.439, intensity 21
2θ 43.93, d 2.061, intensity 18
2θ 31.82, d 2.813, intensity 18